Computed XRD peak list
Compound: SrLaSeO6
Radiation: Cu Kα (λ = 1.5418 Å)
Structure: DFT lattice parameters and positions (GGA-PBE)
Lines closer than 0.1° are merged.

Cell and atoms:
```
SrLaSeO6
1.0
5.6727 0.0000 0.0000
-2.8363 4.9127 0.0000
0.0000 0.0000 4.8984
Sr La Se O
1 1 1 6
Direct
0.0000 0.0000 0.0000
0.6667 0.3333 0.5000
0.3333 0.6667 0.0000
0.0568 0.4153 0.2149
0.0568 0.6415 0.7851
0.3585 0.4153 0.7851
0.3585 0.9432 0.2149
0.5847 0.6415 0.2149
0.5847 0.9432 0.7851
```

Peak list (10 most intense, 5 to 70 degrees two-theta, sorted by position)
d [Å]  Position (°2θ)  I (rel.)
4.908  18.07  79
3.469  25.68  1000
2.836  31.54  417
2.449  36.69  61
2.195  41.12  306
1.854  49.15  402
1.736  52.72  282
1.638  56.17  133
1.549  59.68  89
1.361  68.98  95



Computed XRD peak list
Compound: LaTbSeO2
Radiation: Cu Kα (λ = 1.5418 Å)
Structure: DFT lattice parameters and positions (GGA-PBE)
Lines closer than 0.1° are merged.

Cell and atoms:
```
LaTbSeO2
1.0
6.7073 0.0000 0.0000
0.0000 4.1231 0.0000
-2.4394 0.0000 7.4710
La Tb Se O
2 2 2 4
Direct
0.1914 0.2500 0.4280
0.8086 0.7500 0.5720
0.1728 0.2500 0.9196
0.8272 0.7500 0.0804
0.4507 0.7500 0.7524
0.5493 0.2500 0.2476
0.0125 0.7500 0.8864
0.0158 0.7500 0.3718
0.9842 0.2500 0.6282
0.9875 0.2500 0.1136
```

Peak list (10 most intense, 5 to 70 degrees two-theta, sorted by position)
d [Å]  Position (°2θ)  I (rel.)
3.462  25.73  1000
2.912  30.70  722
2.859  31.28  723
2.784  32.15  598
2.768  32.34  406
2.522  35.60  515
2.062  43.92  341
1.964  46.22  319
1.887  48.22  316
1.672  54.91  291



Computed XRD peak list
Compound: La8Te3SeO8
Radiation: Cu Kα (λ = 1.5418 Å)
Structure: DFT lattice parameters and positions (GGA-PBE)
Lines closer than 0.1° are merged.

Cell and atoms:
```
La8Te3SeO8
1.0
4.1099 0.0000 0.0000
0.0000 4.1099 0.0000
0.0000 0.0000 26.2235
La Te Se O
8 3 1 8
Direct
0.0000 0.0000 0.0749
0.0000 0.0000 0.4198
0.0000 0.0000 0.5802
0.0000 0.0000 0.9251
0.5000 0.5000 0.1671
0.5000 0.5000 0.3275
0.5000 0.5000 0.6725
0.5000 0.5000 0.8329
0.0000 0.0000 0.2474
0.0000 0.0000 0.7526
0.5000 0.5000 0.5000
0.5000 0.5000 0.0000
0.0000 0.5000 0.1210
0.0000 0.5000 0.3736
0.0000 0.5000 0.6264
0.0000 0.5000 0.8790
0.5000 0.0000 0.1210
0.5000 0.0000 0.3736
0.5000 0.0000 0.6264
0.5000 0.0000 0.8790
```

Peak list (10 most intense, 5 to 70 degrees two-theta, sorted by position)
d [Å]  Position (°2θ)  I (rel.)
2.994  29.84  1000
2.906  30.77  395
2.185  41.31  79
2.175  41.53  30
2.055  44.07  208
1.747  52.38  217
1.694  54.13  372
1.497  61.99  97
1.453  64.09  65
1.373  68.31  71



Computed XRD peak list
Compound: La6Ti3Se9O5
Radiation: Cu Kα (λ = 1.5418 Å)
Structure: DFT lattice parameters and positions (GGA-PBE)
Lines closer than 0.1° are merged.

Cell and atoms:
```
La6Ti3Se9O5
1.0
22.2963 -1.9696 0.0000
22.2963 1.9696 0.0000
-1.2801 0.0000 11.1074
La Ti Se O
12 6 18 10
Direct
0.0379 0.0379 0.2465
0.1382 0.1382 0.1547
0.2894 0.2894 0.0422
0.2885 0.2885 0.4910
0.3873 0.3873 0.4821
0.4595 0.4595 0.2455
0.5405 0.5405 0.7545
0.6127 0.6127 0.5179
0.7115 0.7115 0.5090
0.7106 0.7106 0.9578
0.8618 0.8618 0.8453
0.9621 0.9621 0.7535
0.0000 0.0000 0.5000
0.1422 0.1422 0.8472
0.2308 0.2308 0.2407
0.5000 0.5000 0.0000
0.7692 0.7692 0.7593
0.8578 0.8578 0.1528
0.0406 0.0406 0.9734
0.0908 0.0908 0.6903
0.1564 0.1564 0.4409
0.2272 0.2272 0.7352
0.3097 0.3097 0.7808
0.3366 0.3366 0.2746
0.3861 0.3861 0.0460
0.4068 0.4068 0.7488
0.4598 0.4598 0.5282
0.5402 0.5402 0.4718
0.5932 0.5932 0.2512
0.6139 0.6139 0.9540
0.6634 0.6634 0.7254
0.6903 0.6903 0.2192
0.7728 0.7728 0.2648
0.8436 0.8436 0.5591
0.9092 0.9092 0.3097
0.9594 0.9594 0.0266
0.0124 0.0124 0.6711
0.1732 0.1732 0.9674
0.2327 0.2327 0.4172
0.2350 0.2350 0.0723
0.4884 0.4884 0.8290
0.5116 0.5116 0.1710
0.7650 0.7650 0.9277
0.7673 0.7673 0.5828
0.8268 0.8268 0.0326
0.9876 0.9876 0.3289
```

Peak list (10 most intense, 5 to 70 degrees two-theta, sorted by position)
d [Å]  Position (°2θ)  I (rel.)
3.693  24.10  425
2.911  30.71  358
2.777  32.23  1000
2.768  32.34  331
2.613  34.32  507
2.577  34.81  256
2.560  35.05  868
2.353  38.26  232
1.969  46.09  624
1.606  57.37  323